Computed powder diffractogram
Compound: Li10V5Cr3O16
Radiation: CuKα
Structure: the GGA+U geometry in Alexandria
Neutral-atom scattering factors, no anomalous dispersion.

Largest 8 diffraction maxima, in order of falling intensity, 2θ = 15–90°:
2θ (°)	I_rel
17.86	100
19.19	88
44.29	84
35.60	68
34.89	56
61.47	56
44.16	55
19.26	46

Structural model:
```
data_Li10V5Cr3O16
_cell_length_a 6.0336
_cell_length_b 6.0336
_cell_length_c 9.9320
_cell_angle_alpha 90.31
_cell_angle_beta 90.31
_cell_angle_gamma 59.76
_space_group_name_H-M_alt 'P 1'
_space_group_IT_number 1
_space_group_name_Hall 'P 1'
loop_
_atom_site_label
_atom_site_type_symbol
_atom_site_fract_x
_atom_site_fract_y
_atom_site_fract_z
Li1 Li 0.0000 0.0000 0.0000
Li2 Li 0.0026 0.0026 0.5018
Li3 Li 0.1944 0.6132 0.4254
Li4 Li 0.2022 0.2022 0.4290
Li5 Li 0.3349 0.3349 0.2115
Li6 Li 0.3990 0.8054 0.9269
Li7 Li 0.6132 0.1944 0.4254
Li8 Li 0.6695 0.6695 0.7105
Li9 Li 0.8054 0.3990 0.9269
Li10 Li 0.8063 0.8063 0.9260
V1 V 0.1712 0.1712 0.7017
V2 V 0.3344 0.3344 0.9589
V3 V 0.3372 0.8335 0.2013
V4 V 0.6672 0.6672 0.4586
V5 V 0.8335 0.3372 0.2013
Cr1 Cr 0.1703 0.6674 0.6994
Cr2 Cr 0.6674 0.1703 0.6994
Cr3 Cr 0.8335 0.8335 0.1990
O1 O 0.0171 0.4980 0.8166
O2 O 0.1599 0.1599 0.0838
O3 O 0.1630 0.6806 0.0849
O4 O 0.3225 0.8450 0.5864
O5 O 0.3403 0.3403 0.5830
O6 O 0.4942 0.4942 0.8174
O7 O 0.4980 0.0171 0.8166
O8 O 0.5070 0.5070 0.3162
O9 O 0.5091 0.9881 0.3162
O10 O 0.6722 0.6722 0.0802
O11 O 0.6806 0.1630 0.0849
O12 O 0.8427 0.8427 0.5839
O13 O 0.8450 0.3225 0.5864
O14 O 0.9881 0.5091 0.3162
O15 O 0.9963 0.9963 0.3155
O16 O 0.9983 0.9983 0.8128
```